The following is a calculated powder diffraction line list of Li2Co4F9. It was derived from a structure optimized by DFT (PBE+U), using λ = 1.5418 Å (Cu Kα).
No peak broadening, texture or thermal motion is included.

Main lines, most intense first (10° ≤ 2θ ≤ 90°):
hkl 1 0 4, 32.2 deg, d = 2.784 Å, intensity 100; hkl 1 0 0, 19.5 deg, d = 4.561 Å, intensity 97; hkl 1 1 6, 52.3 deg, d = 1.750 Å, intensity 85; hkl 1 1 0, 34.0 deg, d = 2.633 Å, intensity 55; hkl 2 -1 3, 39.2 deg, d = 2.295 Å, intensity 54; hkl 0 1 2, 23.3 deg, d = 3.826 Å, intensity 54; hkl 3 0 0, 60.9 deg, d = 1.520 Å, intensity 50; hkl 0 2 4, 47.5 deg, d = 1.913 Å, intensity 45; hkl 3 -1 4, 59.8 deg, d = 1.548 Å, intensity 37; hkl 1 0 10, 70.0 deg, d = 1.343 Å, intensity 23

Crystal structure
Cell lengths 5.2661, 5.2661, 14.0564 Å; angles 90.00, 90.00, 120.00 degrees
Space group P-3 (No. 147)
Unique sites:
Li 0.0000 0.0000 0.1515
Li 0.0000 0.0000 0.3482
Co 0.3333 0.6667 0.0162
Co 0.3333 0.6667 0.3157
Co 0.3333 0.6667 0.5162
Co 0.3333 0.6667 0.8159
F 0.9996 0.3067 0.2500
F 0.0248 0.6711 0.4149
F 0.0258 0.3540 0.9150